The following is a theoretical X-ray diffraction stick pattern of Pb5F8. It was derived from a GGA-PBE-relaxed structure, using Cu Kα (λ = 1.5418 Å).

Most intense lines, 10 to 90 degrees two-theta, low angle first:
(6 0 -2), 2θ 24.39, I = 54
(4 0 2), 2θ 24.90, I = 53
(1 1 -2), 2θ 26.77, I = 100
(2 0 -4), 2θ 28.46, I = 23
(5 1 0), 2θ 30.45, I = 52
(10 0 0), 2θ 40.85, I = 17
(7 1 -4), 2θ 41.84, I = 28
(3 1 4), 2θ 42.48, I = 27
(0 2 0), 2θ 46.21, I = 17
(9 1 2), 2θ 49.80, I = 15

Cell: 23.0988 3.9294 12.5477 Å, 90.00 107.00 90.00°
Space group Cm (No. 8)
Unique sites:
Pb1 0.0000 0.0000 0.0000 (multiplicity 2)
Pb2 0.9996 0.0000 0.4658 (multiplicity 2)
Pb3 0.1048 0.5000 0.7933 (multiplicity 2)
Pb4 0.1058 0.5000 0.2719 (multiplicity 2)
Pb5 0.2037 0.0000 0.6078 (multiplicity 2)
Pb6 0.2195 0.0000 0.1165 (multiplicity 2)
Pb7 0.3025 0.5000 0.9562 (multiplicity 2)
Pb8 0.3051 0.5000 0.4219 (multiplicity 2)
Pb9 0.3895 0.0000 0.1999 (multiplicity 2)
Pb10 0.4188 0.0000 0.6983 (multiplicity 2)
F1 0.0087 0.5000 0.6468 (multiplicity 2)
F2 0.0107 0.5000 0.1269 (multiplicity 2)
F3 0.0202 0.5000 0.8853 (multiplicity 2)
F4 0.0599 0.0000 0.3341 (multiplicity 2)
F5 0.1022 0.0000 0.5847 (multiplicity 2)
F6 0.1104 0.0000 0.1413 (multiplicity 2)
F7 0.1939 0.5000 0.4732 (multiplicity 2)
F8 0.1949 0.5000 0.9752 (multiplicity 2)
F9 0.2018 0.5000 0.7276 (multiplicity 2)
F10 0.2100 0.5000 0.2353 (multiplicity 2)
F11 0.3024 0.0000 0.2975 (multiplicity 2)
F12 0.3093 0.0000 0.5547 (multiplicity 2)
F13 0.3888 0.5000 0.3225 (multiplicity 2)
F14 0.4073 0.5000 0.5653 (multiplicity 2)
F15 0.4106 0.5000 0.0669 (multiplicity 2)
F16 0.4134 0.5000 0.8221 (multiplicity 2)

The following is a theoretical X-ray diffraction stick pattern of Ba3TmU2S9. It was derived from a GGA-PBE-relaxed structure, using Cu Kα (λ = 1.5418 Å).

Most intense lines, 10 to 90 degrees two-theta, low angle first:
(1 0 1), 2θ 16.99, I = 16
(1 1 0), 2θ 24.11, I = 100
(2 0 2), 2θ 34.36, I = 42
(1 1 3), 2θ 38.57, I = 8
(1 2 2), 2θ 42.41, I = 35
(3 0 0), 2θ 42.46, I = 12
(2 2 0), 2θ 49.39, I = 29
(3 1 2), 2θ 55.69, I = 21
(4 1 0), 2θ 67.14, I = 19
(3 2 4), 2θ 77.57, I = 8

Cell: 7.3743 7.3743 9.0574 Å, 90.00 90.00 120.00°
Space group P-3m1 (No. 164)
Unique sites:
Ba1 0.0000 0.0000 0.0000 (multiplicity 1)
Ba2 0.3333 0.6667 0.6565 (multiplicity 2)
Tm1 0.0000 0.0000 0.5000 (multiplicity 1)
U1 0.3333 0.6667 0.1697 (multiplicity 2)
S1 0.0000 0.5000 0.0000 (multiplicity 3)
S2 0.1672 0.3344 0.3322 (multiplicity 6)